# 1
Simulated X-ray powder pattern
Compound: Ni7Pt4
Radiation: Cu Kα X-rays
Structure: DFT lattice parameters and positions (GGA-PBE)
Lines closer than 0.1° are merged.

Most intense lines, 15° ≤ 2θ ≤ 90°, by angle:
| 2theta | Rel. int. |
| --- | --- |
| 23.57 | 17.3 |
| 41.91 | 100.0 |
| 42.04 | 49.2 |
| 42.51 | 47.5 |
| 48.62 | 33.9 |
| 48.92 | 31.7 |
| 49.46 | 30.4 |
| 71.79 | 19.5 |

Structure:
a = 4.498 Å, b = 4.596 Å, c = 6.973 Å
α = 96.27°, β = 90.18°, γ = 99.25°
Sites, in units of the cell vectors:
1 Ni 0.000 0.000 0.000
2 Ni 0.272 0.632 0.547
3 Ni 0.359 0.182 0.733
4 Ni 0.453 0.736 0.913
5 Ni 0.547 0.264 0.087
6 Ni 0.641 0.818 0.267
7 Ni 0.728 0.368 0.453
8 Pt 0.095 0.545 0.182
9 Pt 0.198 0.095 0.366
10 Pt 0.802 0.905 0.634
11 Pt 0.905 0.455 0.818

# 2
Simulated X-ray powder pattern
Compound: RuCSN2
Radiation: Cu Kα X-rays
Structure: DFT lattice parameters and positions (GGA-PBE)
Lines closer than 0.1° are merged.

Most intense lines, 15° ≤ 2θ ≤ 90°, by angle:
| 2theta | Rel. int. |
| --- | --- |
| 16.97 | 53.6 |
| 24.10 | 100.0 |
| 29.62 | 48.3 |
| 34.34 | 73.3 |
| 42.39 | 43.1 |
| 49.35 | 49.5 |
| 61.50 | 23.5 |
| 67.05 | 21.6 |

Structure:
a = 3.693 Å, b = 3.693 Å, c = 5.224 Å
α = 90.00°, β = 90.00°, γ = 90.00°
Sites, in units of the cell vectors:
1 Ru 0.000 0.000 0.000
2 C 0.500 0.500 0.500
3 S 0.000 0.000 0.500
4 N 0.000 0.500 0.000
5 N 0.500 0.000 0.000

# 3
Simulated X-ray powder pattern
Compound: SrCeInN3
Radiation: Cu Kα X-rays
Structure: DFT lattice parameters and positions (GGA-PBE)
Lines closer than 0.1° are merged.

Most intense lines, 15° ≤ 2θ ≤ 90°, by angle:
| 2theta | Rel. int. |
| --- | --- |
| 15.50 | 79.0 |
| 29.74 | 29.5 |
| 31.30 | 33.6 |
| 32.01 | 26.1 |
| 32.36 | 29.1 |
| 32.91 | 66.7 |
| 34.49 | 100.0 |
| 47.19 | 20.1 |

Structure:
a = 7.580 Å, b = 3.577 Å, c = 8.393 Å
α = 90.00°, β = 91.87°, γ = 90.00°
Sites, in units of the cell vectors:
1 Sr 0.150 0.250 0.183
2 Sr 0.850 0.750 0.817
3 Ce 0.380 0.750 0.853
4 Ce 0.620 0.250 0.147
5 In 0.141 0.250 0.582
6 In 0.859 0.750 0.418
7 N 0.164 0.750 0.436
8 N 0.171 0.250 0.843
9 N 0.414 0.750 0.111
10 N 0.586 0.250 0.889
11 N 0.829 0.750 0.157
12 N 0.836 0.250 0.564

# 4
Simulated X-ray powder pattern
Compound: Ca2Th2Rh3
Radiation: Cu Kα X-rays
Structure: DFT lattice parameters and positions (GGA-PBE)
Lines closer than 0.1° are merged.

Most intense lines, 15° ≤ 2θ ≤ 90°, by angle:
| 2theta | Rel. int. |
| --- | --- |
| 25.41 | 16.4 |
| 27.59 | 22.9 |
| 35.75 | 64.1 |
| 35.89 | 31.7 |
| 36.69 | 100.0 |
| 38.29 | 22.4 |
| 52.23 | 21.6 |
| 65.40 | 21.9 |

Structure:
a = 4.895 Å, b = 4.895 Å, c = 8.775 Å
α = 106.40°, β = 106.40°, γ = 60.12°
Sites, in units of the cell vectors:
1 Ca 0.130 0.130 0.390
2 Ca 0.870 0.870 0.610
3 Th 0.379 0.379 0.139
4 Th 0.621 0.621 0.861
5 Rh 0.000 0.000 0.000
6 Rh 0.262 0.262 0.783
7 Rh 0.738 0.738 0.217

# 5
Simulated X-ray powder pattern
Compound: Li2ErZnGe2
Radiation: Cu Kα X-rays
Structure: DFT lattice parameters and positions (GGA-PBE)
Lines closer than 0.1° are merged.

Most intense lines, 15° ≤ 2θ ≤ 90°, by angle:
| 2theta | Rel. int. |
| --- | --- |
| 26.31 | 26.8 |
| 27.46 | 38.5 |
| 33.50 | 29.7 |
| 34.11 | 48.1 |
| 35.50 | 100.0 |
| 41.11 | 31.2 |
| 43.20 | 27.5 |
| 43.43 | 32.6 |

Structure:
a = 4.167 Å, b = 7.749 Å, c = 6.977 Å
α = 90.00°, β = 90.00°, γ = 90.00°
Sites, in units of the cell vectors:
1 Li 0.000 0.071 0.000
2 Li 0.000 0.929 0.500
3 Li 0.500 0.173 0.325
4 Li 0.500 0.827 0.825
5 Er 0.500 0.437 0.959
6 Er 0.500 0.563 0.459
7 Zn 0.000 0.306 0.619
8 Zn 0.000 0.694 0.119
9 Ge 0.000 0.370 0.244
10 Ge 0.000 0.630 0.744
11 Ge 0.500 0.138 0.702
12 Ge 0.500 0.862 0.202

# 6
Simulated X-ray powder pattern
Compound: Zn4CuPt2
Radiation: Cu Kα X-rays
Structure: DFT lattice parameters and positions (GGA-PBE)
Lines closer than 0.1° are merged.

Most intense lines, 15° ≤ 2θ ≤ 90°, by angle:
| 2theta | Rel. int. |
| --- | --- |
| 18.71 | 29.9 |
| 25.07 | 38.5 |
| 26.04 | 96.3 |
| 42.44 | 89.7 |
| 42.90 | 74.1 |
| 43.21 | 72.8 |
| 44.76 | 100.0 |
| 46.50 | 40.4 |

Structure:
a = 4.744 Å, b = 7.103 Å, c = 6.576 Å
α = 90.00°, β = 91.84°, γ = 90.00°
Sites, in units of the cell vectors:
1 Zn 0.069 0.195 0.498
2 Zn 0.069 0.305 0.998
3 Zn 0.374 0.658 0.340
4 Zn 0.374 0.842 0.840
5 Zn 0.626 0.158 0.160
6 Zn 0.626 0.342 0.660
7 Zn 0.931 0.695 0.002
8 Zn 0.931 0.805 0.502
9 Cu 0.500 0.000 0.500
10 Cu 0.500 0.500 0.000
11 Pt 0.156 0.515 0.686
12 Pt 0.156 0.985 0.186
13 Pt 0.844 0.015 0.814
14 Pt 0.844 0.485 0.314

# 7
Simulated X-ray powder pattern
Compound: Tc5Ru2
Radiation: Cu Kα X-rays
Structure: DFT lattice parameters and positions (GGA-PBE)
Lines closer than 0.1° are merged.

Most intense lines, 15° ≤ 2θ ≤ 90°, by angle:
| 2theta | Rel. int. |
| --- | --- |
| 37.80 | 24.7 |
| 41.23 | 38.0 |
| 43.21 | 100.0 |
| 43.29 | 49.6 |
| 57.11 | 14.2 |
| 68.13 | 16.6 |
| 76.51 | 17.5 |
| 82.84 | 19.1 |

Structure:
a = 6.471 Å, b = 6.471 Å, c = 7.019 Å
α = 94.35°, β = 94.35°, γ = 43.27°
Sites, in units of the cell vectors:
1 Tc 0.026 0.694 0.038
2 Tc 0.116 0.450 0.676
3 Tc 0.165 0.835 0.750
4 Tc 0.306 0.974 0.462
5 Tc 0.450 0.116 0.176
6 Tc 0.550 0.884 0.824
7 Tc 0.694 0.026 0.538
8 Tc 0.835 0.165 0.250
9 Tc 0.884 0.550 0.324
10 Tc 0.974 0.306 0.962
11 Ru 0.262 0.595 0.392
12 Ru 0.405 0.738 0.108
13 Ru 0.595 0.262 0.892
14 Ru 0.738 0.405 0.608

# 8
Simulated X-ray powder pattern
Compound: Zr2PaIn2
Radiation: Cu Kα X-rays
Structure: DFT lattice parameters and positions (GGA-PBE)
Lines closer than 0.1° are merged.

Most intense lines, 15° ≤ 2θ ≤ 90°, by angle:
| 2theta | Rel. int. |
| --- | --- |
| 17.35 | 13.9 |
| 33.65 | 100.0 |
| 34.69 | 91.5 |
| 38.30 | 32.1 |
| 40.15 | 29.4 |
| 40.51 | 31.1 |
| 56.69 | 20.3 |
| 58.36 | 30.2 |

Structure:
a = 5.586 Å, b = 5.586 Å, c = 6.988 Å
α = 128.53°, β = 128.53°, γ = 47.42°
Sites, in units of the cell vectors:
1 Zr 0.207 0.207 0.304
2 Zr 0.793 0.793 0.696
3 Pa 0.000 0.000 0.500
4 In 0.416 0.416 0.109
5 In 0.584 0.584 0.891

# 9
Simulated X-ray powder pattern
Compound: NbCr3Ag2S8
Radiation: Cu Kα X-rays
Structure: DFT lattice parameters and positions (GGA-PBE)
Lines closer than 0.1° are merged.

Most intense lines, 15° ≤ 2θ ≤ 90°, by angle:
| 2theta | Rel. int. |
| --- | --- |
| 24.52 | 73.2 |
| 28.68 | 52.5 |
| 28.84 | 100.0 |
| 28.94 | 22.9 |
| 45.68 | 28.7 |
| 45.81 | 25.8 |
| 46.11 | 24.1 |
| 50.27 | 89.8 |

Structure:
a = 7.320 Å, b = 10.223 Å, c = 7.261 Å
α = 90.00°, β = 90.00°, γ = 90.00°
Sites, in units of the cell vectors:
1 Nb 0.041 0.000 0.000
2 Nb 0.959 0.000 0.500
3 Cr 0.253 0.253 0.245
4 Cr 0.253 0.747 0.755
5 Cr 0.498 0.500 0.500
6 Cr 0.502 0.500 0.000
7 Cr 0.747 0.253 0.255
8 Cr 0.747 0.747 0.745
9 Ag 0.000 0.384 0.750
10 Ag 0.000 0.616 0.250
11 Ag 0.500 0.141 0.750
12 Ag 0.500 0.859 0.250
13 S 0.005 0.238 0.472
14 S 0.005 0.762 0.528
15 S 0.235 0.010 0.262
16 S 0.235 0.990 0.738
17 S 0.282 0.484 0.248
18 S 0.282 0.516 0.752
19 S 0.497 0.267 0.465
20 S 0.497 0.733 0.535
21 S 0.503 0.267 0.035
22 S 0.503 0.733 0.965
23 S 0.718 0.484 0.252
24 S 0.718 0.516 0.748
25 S 0.765 0.010 0.238
26 S 0.765 0.990 0.762
27 S 0.995 0.238 0.028
28 S 0.995 0.762 0.972

# 10
Simulated X-ray powder pattern
Compound: Na8AgHg3
Radiation: Cu Kα X-rays
Structure: DFT lattice parameters and positions (GGA-PBE)
Lines closer than 0.1° are merged.

Most intense lines, 15° ≤ 2θ ≤ 90°, by angle:
| 2theta | Rel. int. |
| --- | --- |
| 20.93 | 86.1 |
| 21.22 | 85.3 |
| 24.24 | 31.8 |
| 34.18 | 21.1 |
| 34.87 | 100.0 |
| 40.58 | 32.9 |
| 41.06 | 31.2 |
| 55.12 | 20.5 |

Structure:
a = 8.925 Å, b = 8.863 Å, c = 7.344 Å
α = 66.06°, β = 65.17°, γ = 48.77°
Sites, in units of the cell vectors:
1 Na 0.121 0.630 0.879
2 Na 0.124 0.634 0.366
3 Na 0.366 0.876 0.124
4 Na 0.370 0.879 0.630
5 Na 0.630 0.121 0.370
6 Na 0.634 0.124 0.876
7 Na 0.876 0.366 0.634
8 Na 0.879 0.370 0.121
9 Ag 0.000 0.000 0.000
10 Hg 0.250 0.250 0.250
11 Hg 0.500 0.500 0.500
12 Hg 0.750 0.750 0.750

# 11
Simulated X-ray powder pattern
Compound: PaFeGe3
Radiation: Cu Kα X-rays
Structure: DFT lattice parameters and positions (GGA-PBE)
Lines closer than 0.1° are merged.

Most intense lines, 15° ≤ 2θ ≤ 90°, by angle:
| 2theta | Rel. int. |
| --- | --- |
| 22.71 | 32.3 |
| 29.56 | 21.5 |
| 34.64 | 40.0 |
| 34.91 | 100.0 |
| 42.29 | 48.9 |
| 55.77 | 20.6 |
| 57.29 | 22.9 |
| 72.57 | 24.4 |

Structure:
a = 5.743 Å, b = 5.743 Å, c = 5.743 Å
α = 136.31°, β = 136.31°, γ = 63.51°
Sites, in units of the cell vectors:
1 Pa 0.000 0.000 0.000
2 Fe 0.316 0.316 0.000
3 Ge 0.231 0.731 0.500
4 Ge 0.548 0.548 0.000
5 Ge 0.731 0.231 0.500

# 12
Simulated X-ray powder pattern
Compound: Tb5Dy2
Radiation: Cu Kα X-rays
Structure: DFT lattice parameters and positions (GGA-PBE)
Lines closer than 0.1° are merged.

Most intense lines, 15° ≤ 2θ ≤ 90°, by angle:
| 2theta | Rel. int. |
| --- | --- |
| 28.48 | 23.8 |
| 31.63 | 24.2 |
| 32.66 | 100.0 |
| 43.07 | 15.6 |
| 50.43 | 19.8 |
| 56.99 | 20.6 |
| 60.75 | 22.6 |
| 61.38 | 16.4 |

Structure:
a = 8.444 Å, b = 8.444 Å, c = 9.187 Å
α = 95.38°, β = 95.38°, γ = 43.59°
Sites, in units of the cell vectors:
1 Tb 0.024 0.691 0.036
2 Tb 0.119 0.452 0.679
3 Tb 0.167 0.833 0.750
4 Tb 0.309 0.976 0.464
5 Tb 0.452 0.119 0.179
6 Tb 0.548 0.881 0.821
7 Tb 0.691 0.024 0.536
8 Tb 0.833 0.167 0.250
9 Tb 0.881 0.548 0.321
10 Tb 0.976 0.309 0.964
11 Dy 0.262 0.595 0.393
12 Dy 0.405 0.738 0.107
13 Dy 0.595 0.262 0.893
14 Dy 0.738 0.405 0.607

# 13
Simulated X-ray powder pattern
Compound: TlCd2Cu
Radiation: Cu Kα X-rays
Structure: DFT lattice parameters and positions (GGA-PBE)
Lines closer than 0.1° are merged.

Most intense lines, 15° ≤ 2θ ≤ 90°, by angle:
| 2theta | Rel. int. |
| --- | --- |
| 30.78 | 31.7 |
| 33.03 | 47.3 |
| 33.16 | 92.5 |
| 33.53 | 95.7 |
| 34.13 | 44.3 |
| 37.72 | 100.0 |
| 43.32 | 45.8 |
| 49.52 | 30.6 |

Structure:
a = 3.683 Å, b = 4.177 Å, c = 6.042 Å
α = 90.00°, β = 105.92°, γ = 90.00°
Sites, in units of the cell vectors:
1 Tl 0.000 0.000 0.000
2 Cd 0.281 0.000 0.546
3 Cd 0.686 0.500 0.345
4 Cu 0.440 0.500 0.854